[1]
Structure and computed X-ray powder pattern of NdAl2CdAu4 (a cell relaxed with GGA-PBE; Cu Ka).
Neutral-atom scattering factors, no anomalous dispersion.

Atomic structure:
```
NdAl2CdAu4
1.0
2.2117 1.2769 9.7269
-2.2117 1.2769 9.7269
0.0000 -2.5538 9.7269
Nd Al Cd Au
1 2 1 4
direct
0.0000 0.0000 0.0000
0.2461 0.2461 0.2461
0.7539 0.7539 0.7539
0.5000 0.5000 0.5000
0.1178 0.1178 0.1178
0.3955 0.3955 0.3955
0.6045 0.6045 0.6045
0.8822 0.8822 0.8822
```

Top 10 peaks for 10° ≤ 2θ ≤ 90°, sorted by position:
- d 3.705, 24.02 deg, intensity 35
- d 3.392, 26.28 deg, intensity 42
- d 2.642, 33.94 deg, intensity 100
- d 2.321, 38.79 deg, intensity 51
- d 2.212, 40.80 deg, intensity 94
- d 1.696, 54.08 deg, intensity 27
- d 1.601, 57.56 deg, intensity 16
- d 1.346, 69.90 deg, intensity 25
- d 1.308, 72.26 deg, intensity 18
- d 1.277, 74.27 deg, intensity 18


[2]
Structure and computed X-ray powder pattern of Mn3Cu3Se8 (a cell relaxed with GGA-PBE; Cu Ka).
Neutral-atom scattering factors, no anomalous dispersion.

Atomic structure:
```
Mn3Cu3Se8
1.0
3.6529 2.1090 6.0630
-3.6529 2.1090 6.0630
0.0000 -4.2181 6.0630
Mn Cu Se
3 3 8
direct
0.0000 0.5000 0.5000
0.5000 0.0000 0.5000
0.5000 0.5000 0.0000
0.1220 0.1220 0.1220
0.5000 0.5000 0.5000
0.8780 0.8780 0.8780
0.2563 0.2563 0.2563
0.2568 0.2568 0.7222
0.2568 0.7222 0.2568
0.2778 0.7432 0.7432
0.7222 0.2568 0.2568
0.7432 0.2778 0.7432
0.7432 0.7432 0.2778
0.7437 0.7437 0.7437
```

Top 10 peaks for 10° ≤ 2θ ≤ 90°, sorted by position:
- d 3.129, 28.53 deg, intensity 29
- d 3.032, 29.46 deg, intensity 16
- d 2.988, 29.90 deg, intensity 41
- d 2.597, 34.54 deg, intensity 100
- d 1.998, 45.39 deg, intensity 19
- d 1.846, 49.36 deg, intensity 65
- d 1.826, 49.93 deg, intensity 63
- d 1.494, 62.13 deg, intensity 16
- d 1.298, 72.84 deg, intensity 18
- d 1.166, 82.74 deg, intensity 13


[3]
Structure and computed X-ray powder pattern of Dy5PuTh8 (a cell relaxed with GGA-PBE; Cu Ka).
Neutral-atom scattering factors, no anomalous dispersion.

Atomic structure:
```
Dy5PuTh8
1.0
-5.2107 5.2107 4.1765
5.2107 -5.2107 4.1765
5.2107 5.2107 -4.1765
Dy Pu Th
5 1 8
direct
0.0000 0.0000 0.0000
0.3741 0.5732 0.8009
0.4268 0.2277 0.8009
0.4268 0.6259 0.1991
0.7723 0.5732 0.1991
0.7500 0.2500 0.5000
0.0892 0.4262 0.3370
0.0892 0.7522 0.6630
0.2478 0.9108 0.3370
0.5436 0.0436 0.0871
0.5436 0.4564 0.5000
0.5738 0.9108 0.6630
0.9564 0.0436 0.5000
0.9564 0.4564 0.9129
```

Top 10 peaks for 10° ≤ 2θ ≤ 90°, sorted by position:
- d 7.369, 12.01 deg, intensity 20
- d 3.259, 27.37 deg, intensity 28
- d 3.207, 27.81 deg, intensity 46
- d 2.763, 32.40 deg, intensity 38
- d 2.731, 32.79 deg, intensity 100
- d 2.690, 33.31 deg, intensity 45
- d 2.605, 34.42 deg, intensity 22
- d 2.587, 34.67 deg, intensity 37
- d 1.669, 55.04 deg, intensity 20
- d 1.590, 58.02 deg, intensity 18


[4]
Structure and computed X-ray powder pattern of AlMoRh (a cell relaxed with GGA-PBE; Cu Ka).
Neutral-atom scattering factors, no anomalous dispersion.

Atomic structure:
```
AlMoRh
1.0
2.8185 0.0000 0.0000
-1.4093 2.4409 0.0000
0.0000 0.0000 6.5115
Al Mo Rh
1 1 1
direct
0.0000 0.0000 0.0000
0.6667 0.3333 0.3481
0.3333 0.6667 0.6815
```

Top 10 peaks for 10° ≤ 2θ ≤ 90°, sorted by position:
- d 6.511, 13.60 deg, intensity 44
- d 2.441, 36.82 deg, intensity 12
- d 2.286, 39.42 deg, intensity 100
- d 2.170, 41.61 deg, intensity 26
- d 1.953, 46.50 deg, intensity 62
- d 1.409, 66.33 deg, intensity 19
- d 1.354, 69.39 deg, intensity 18
- d 1.200, 79.98 deg, intensity 12
- d 1.182, 81.42 deg, intensity 21
- d 1.149, 84.28 deg, intensity 11


[5]
Structure and computed X-ray powder pattern of BaLiNp4N8 (a cell relaxed with GGA-PBE; Cu Ka).
Neutral-atom scattering factors, no anomalous dispersion.

Atomic structure:
```
BaLiNp4N8
1.0
3.4753 2.0064 5.3962
-3.4753 2.0064 5.3962
0.0000 -4.0129 5.3962
Ba Li Np N
1 1 4 8
direct
0.0000 0.0000 0.0000
0.6228 0.6228 0.6228
0.1072 0.6156 0.6156
0.2300 0.2300 0.2300
0.6156 0.1072 0.6156
0.6156 0.6156 0.1072
0.3529 0.3529 0.8282
0.3529 0.8282 0.3529
0.3734 0.3734 0.3734
0.4525 0.8453 0.8453
0.8282 0.3529 0.3529
0.8410 0.8410 0.8410
0.8453 0.4525 0.8453
0.8453 0.8453 0.4525
```

Top 10 peaks for 10° ≤ 2θ ≤ 90°, sorted by position:
- d 5.396, 16.43 deg, intensity 43
- d 3.359, 26.54 deg, intensity 53
- d 2.959, 30.20 deg, intensity 100
- d 2.922, 30.60 deg, intensity 43
- d 2.851, 31.37 deg, intensity 30
- d 2.821, 31.72 deg, intensity 41
- d 1.983, 45.75 deg, intensity 23
- d 1.834, 49.72 deg, intensity 22
- d 1.738, 52.68 deg, intensity 31
- d 1.679, 54.65 deg, intensity 25


[6]
Structure and computed X-ray powder pattern of Er7Sb2Rh2 (a cell relaxed with GGA-PBE; Cu Ka).
Neutral-atom scattering factors, no anomalous dispersion.

Atomic structure:
```
Er7Sb2Rh2
1.0
-1.9909 7.8135 4.6362
1.9909 -7.8135 4.6362
1.9909 7.8135 -4.6362
Er Sb Rh
7 2 2
direct
0.0000 0.0000 0.0000
0.0627 0.3780 0.6848
0.0980 0.7440 0.3540
0.3901 0.7440 0.6460
0.4608 0.5873 0.8734
0.6932 0.3780 0.3152
0.7139 0.5873 0.1266
0.3327 0.3327 0.0000
0.7444 0.2444 0.5000
0.3103 0.0701 0.2402
0.8300 0.0701 0.7598
```

Top 10 peaks for 10° ≤ 2θ ≤ 90°, sorted by position:
- d 3.163, 28.21 deg, intensity 21
- d 3.032, 29.46 deg, intensity 15
- d 2.964, 30.15 deg, intensity 70
- d 2.670, 33.56 deg, intensity 100
- d 2.658, 33.72 deg, intensity 53
- d 2.613, 34.32 deg, intensity 46
- d 2.442, 36.81 deg, intensity 20
- d 2.330, 38.64 deg, intensity 24
- d 1.991, 45.56 deg, intensity 30
- d 1.594, 57.86 deg, intensity 24